Diffraction record for Li2Mn5Si4O14. The powder diffractogram is theoretical, not measured: it uses a DFT-relaxed cell (GGA+U, Alexandria) and copper Kα.
No peak broadening, texture or thermal motion is included.

Peak list (10 most intense, 2θ = 10–80°, by intensity)
| hkl | d (Å) | I (rel.) |
| --- | --- | --- |
| 1 -2 2 | 2.928 | 100 |
| 1 2 -1 | 2.761 | 74 |
| 0 1 2 | 2.742 | 67 |
| 1 -2 1 | 3.431 | 65 |
| -2 1 1 | 2.593 | 64 |
| 1 1 -2 | 3.233 | 42 |
| 1 3 1 | 1.656 | 35 |
| 0 1 0 | 6.725 | 31 |
| 1 -1 4 | 1.784 | 30 |
| 1 1 -3 | 2.474 | 27 |

Structural model:
```
data_Li2Mn5Si4O14
_symmetry_space_group_name_H-M 'P -1'
_symmetry_Int_Tables_number 2
_cell_length_a 5.556
_cell_length_b 7.659
_cell_length_c 8.047
_cell_angle_alpha 113.34
_cell_angle_beta 94.11
_cell_angle_gamma 103.85
loop_
_symmetry_equiv_pos_as_xyz
'x,y,z'
'-x,-y,-z'
loop_
_atom_site_label
_atom_site_type_symbol
_atom_site_fract_x
_atom_site_fract_y
_atom_site_fract_z
_atom_site_occupancy
Li1 Li 0.226 0.105 0.462 1
Mn1 Mn 0.000 0.000 0.000 1
Mn2 Mn 0.093 0.371 0.825 1
Mn3 Mn 0.367 0.423 0.297 1
Si1 Si 0.206 0.791 0.611 1
Si2 Si 0.493 0.784 0.139 1
O1 O 0.030 0.189 0.274 1
O2 O 0.119 0.826 0.432 1
O3 O 0.204 0.674 0.024 1
O4 O 0.298 0.241 0.000 1
O5 O 0.300 0.593 0.568 1
O6 O 0.427 0.310 0.721 1
O7 O 0.470 0.976 0.741 1
```